# Hf2GaPt
Calculated X-ray diffraction stick pattern, Cu Kα (weighted mean of Kα1 and Kα2). Input: DFT lattice parameters and positions (GGA-PBE).

Largest 12 diffraction maxima, by angle, 10 to 90 degrees two-theta:
(hkl)	2θ (°)	I (rel.)
0 0 3	11.4	23
1 0 1	30.0	4
1 0 4	33.5	100
1 0 7	40.4	5
0 1 8	43.2	49
0 0 12	46.6	13
1 1 0	52.8	32
0 2 4	64.0	16
2 0 8	70.5	12
1 0 16	71.9	10
1 1 12	73.0	20
2 1 4	87.5	14

Structure:
Unit cell a=3.4698 b=3.4698 c=23.3730 alpha=90.00 beta=90.00 gamma=120.00
Space group R-3m (No. 166, hexagonal axes)
Asymmetric unit:
1 Hf 0.0000 0.0000 0.2458 [6 per cell]
2 Ga 0.0000 0.0000 0.0000 [3 per cell]
3 Pt 0.0000 0.0000 0.5000 [3 per cell]

# Pu9Pb3O2
Calculated X-ray diffraction stick pattern, Cu Kα (weighted mean of Kα1 and Kα2). Input: DFT lattice parameters and positions (GGA-PBE).

Largest 11 diffraction maxima, by angle, 10 to 90 degrees two-theta:
(hkl)	2θ (°)	I (rel.)
0 1 1	18.1	1
2 0 1	31.6	100
0 2 2	36.7	54
2 2 0	52.8	38
2 2 3	62.9	44
0 0 6	66.0	3
4 0 2	66.1	10
0 4 4	78.0	6
4 0 5	86.5	10
4 2 1	86.6	10
2 4 2	89.4	19

Structure:
Unit cell a=6.9283 b=6.9283 c=8.4982 alpha=90.00 beta=90.00 gamma=120.00
Space group P-3m1 (No. 164)
Asymmetric unit:
1 Pu 0.0000 0.5000 0.0000 [3 per cell]
2 Pu 0.1663 0.3326 0.6655 [6 per cell]
3 Pb 0.0000 0.0000 0.0000 [1 per cell]
4 Pb 0.3333 0.6667 0.3327 [2 per cell]
5 O 0.3333 0.6667 0.8291 [2 per cell]

# Dy2Al5Pt3
Calculated X-ray diffraction stick pattern, Cu Kα (weighted mean of Kα1 and Kα2). Input: DFT lattice parameters and positions (GGA-PBE).

Largest 12 diffraction maxima, by angle, 10 to 90 degrees two-theta:
(hkl)	2θ (°)	I (rel.)
1 1 1	24.8	21
0 6 1	25.1	41
1 3 1	26.8	48
0 2 2	27.4	22
0 4 2	30.1	18
0 6 2	34.2	17
1 7 1	35.2	55
1 3 2	35.5	100
0 10 1	38.3	33
1 9 0	38.5	24
2 0 0	41.9	43
1 3 3	46.9	24

Structure:
Unit cell a=4.314 b=25.080 c=6.735 alpha=90.00 beta=90.00 gamma=90.00
Space group Cmc2_1 (No. 36)
Asymmetric unit:
1 Dy 0.000 0.018 0.000 [4 per cell]
2 Dy 0.000 0.325 0.033 [4 per cell]
3 Al 0.000 0.102 0.352 [4 per cell]
4 Al 0.000 0.207 0.844 [4 per cell]
5 Al 0.000 0.211 0.247 [4 per cell]
6 Al 0.000 0.374 0.507 [4 per cell]
7 Al 0.000 0.446 0.174 [4 per cell]
8 Pt 0.000 0.108 0.744 [4 per cell]
9 Pt 0.000 0.273 0.549 [4 per cell]
10 Pt 0.000 0.450 0.783 [4 per cell]

# PmEr2
Calculated X-ray diffraction stick pattern, Cu Kα (weighted mean of Kα1 and Kα2). Input: DFT lattice parameters and positions (GGA-PBE).

Largest 12 diffraction maxima, by angle, 10 to 90 degrees two-theta:
(hkl)	2θ (°)	I (rel.)
1 0 1	27.7	50
1 1 0	30.3	18
0 2 0	30.5	59
0 1 3	31.2	100
1 1 2	35.5	100
1 2 1	41.7	33
2 0 0	53.7	34
0 3 3	54.7	21
1 3 2	57.5	25
2 2 0	63.1	42
2 1 3	63.5	26
2 4 0	87.9	17

Structure:
Unit cell a=3.414 b=5.854 c=9.844 alpha=90.00 beta=90.00 gamma=90.00
Space group Immm (No. 71)
Asymmetric unit:
1 Pm 0.000 0.000 0.000 [2 per cell]
2 Er 0.000 0.500 0.187 [4 per cell]

# Sm7Co2Bi2
Calculated X-ray diffraction stick pattern, Cu Kα (weighted mean of Kα1 and Kα2). Input: DFT lattice parameters and positions (GGA-PBE).

Largest 12 diffraction maxima, by angle, 10 to 90 degrees two-theta:
(hkl)	2θ (°)	I (rel.)
1 0 1	25.5	21
1 2 1	27.7	34
1 1 2	30.2	41
0 3 3	30.9	100
0 6 0	32.3	37
1 4 1	33.5	91
1 3 2	33.9	42
1 0 3	35.8	19
1 2 3	37.5	23
0 8 0	43.4	28
2 0 0	49.0	36
2 3 3	59.0	32

Structure:
Unit cell a=3.720 b=16.647 c=10.188 alpha=90.00 beta=90.00 gamma=90.00
Space group Imm2 (No. 44)
Asymmetric unit:
1 Sm 0.000 0.000 0.000 [2 per cell]
2 Sm 0.000 0.135 0.561 [4 per cell]
3 Sm 0.000 0.318 0.371 [4 per cell]
4 Sm 0.000 0.343 0.714 [4 per cell]
5 Co 0.000 0.237 0.054 [4 per cell]
6 Bi 0.000 0.000 0.322 [2 per cell]
7 Bi 0.000 0.500 0.230 [2 per cell]

# PrZn11Ir
Calculated X-ray diffraction stick pattern, Cu Kα (weighted mean of Kα1 and Kα2). Input: DFT lattice parameters and positions (GGA-PBE).

Largest 12 diffraction maxima, by angle, 10 to 90 degrees two-theta:
(hkl)	2θ (°)	I (rel.)
1 1 0	19.9	19
1 3 0	28.0	17
1 1 -2	28.2	14
1 3 -2	34.5	28
0 4 2	39.8	100
1 1 2	40.0	29
2 2 0	40.3	35
2 2 -2	40.5	42
0 6 1	44.6	14
2 0 1	45.2	38
2 6 2	72.5	18
0 8 4	85.9	15

Structure:
Unit cell a=5.136 b=12.858 c=6.862 alpha=90.00 beta=111.65 gamma=90.00
Space group C2/m (No. 12)
Asymmetric unit:
1 Pr 0.000 0.000 0.000 [2 per cell]
2 Zn 0.000 0.500 0.500 [2 per cell]
3 Zn 0.112 0.389 0.221 [8 per cell]
4 Zn 0.161 0.175 0.358 [8 per cell]
5 Zn 0.250 0.250 0.000 [4 per cell]
6 Ir 0.000 0.000 0.500 [2 per cell]

# AcTb8Pm4
Calculated X-ray diffraction stick pattern, Cu Kα (weighted mean of Kα1 and Kα2). Input: DFT lattice parameters and positions (GGA-PBE).

Largest 12 diffraction maxima, by angle, 10 to 90 degrees two-theta:
(hkl)	2θ (°)	I (rel.)
3 1 -1	28.9	21
2 0 -4	30.4	86
2 2 -1	30.7	100
2 2 0	30.9	34
2 0 3	31.9	42
0 2 3	33.6	84
4 0 -1	34.9	32
0 4 0	51.3	20
4 2 -5	52.2	22
2 2 -7	57.9	19
2 4 -4	60.8	23
6 0 2	61.7	24

Structure:
Unit cell a=10.286 b=7.118 c=12.528 alpha=90.00 beta=104.85 gamma=90.00
Space group C2/m (No. 12)
Asymmetric unit:
1 Ac 0.000 0.000 0.000 [2 per cell]
2 Tb 0.091 0.266 0.791 [8 per cell]
3 Tb 0.149 0.500 0.064 [4 per cell]
4 Tb 0.190 0.000 0.342 [4 per cell]
5 Pm 0.000 0.260 0.500 [4 per cell]
6 Pm 0.219 0.500 0.355 [4 per cell]

# CeScSO2
Calculated X-ray diffraction stick pattern, Cu Kα (weighted mean of Kα1 and Kα2). Input: DFT lattice parameters and positions (GGA-PBE).

Largest 12 diffraction maxima, by angle, 10 to 90 degrees two-theta:
(hkl)	2θ (°)	I (rel.)
0 0 1	15.0	64
0 1 1	27.3	100
1 1 0	32.3	42
1 1 1	35.8	27
0 1 2	38.2	57
1 1 2	44.9	20
0 2 0	46.2	19
2 0 0	46.4	14
1 2 1	54.5	14
2 1 1	54.6	14
1 1 3	57.5	16
1 2 2	61.5	13

Structure:
Unit cell a=3.915 b=3.929 c=5.890 alpha=90.00 beta=90.00 gamma=90.00
Space group Pmm2 (No. 25)
Asymmetric unit:
1 Ce 0.000 0.000 0.000 [1 per cell]
2 Sc 0.500 0.500 0.354 [1 per cell]
3 S 0.500 0.500 0.779 [1 per cell]
4 O 0.000 0.500 0.236 [1 per cell]
5 O 0.500 0.000 0.234 [1 per cell]